Structure and computed powder X-ray diffraction pattern of Nd2Sm2Se3N4 (DFT lattice parameters and positions (GGA-PBE); λ = 1.5418 Å (Cu Kα)).
Neutral-atom scattering factors, no anomalous dispersion.

Atomic structure:
```
data_Nd2Sm2Se3N4
_cell_length_a 8.1145
_cell_length_b 4.0611
_cell_length_c 13.6034
_cell_angle_alpha 90.00
_cell_angle_beta 90.00
_cell_angle_gamma 90.00
_symmetry_space_group_name_H-M 'A m m 2'
_symmetry_Int_Tables_number 38
loop_
_symmetry_equiv_pos_as_xyz
'x,y,z'
'-x,-y,z'
'-x,y,z'
'x,-y,z'
'x,y+1/2,z+1/2'
'-x,-y+1/2,z+1/2'
'-x,y+1/2,z+1/2'
'x,-y+1/2,z+1/2'
loop_
_atom_site_label
_atom_site_type_symbol
_atom_site_fract_x
_atom_site_fract_y
_atom_site_fract_z
_atom_site_occupancy
Nd1 Nd 0.0000 0.0000 0.0000 1
Nd2 Nd 0.5000 0.0000 0.0097 1
Sm1 Sm 0.2427 0.0000 0.6776 1
Se1 Se 0.0000 0.0000 0.3173 1
Se2 Se 0.3297 0.0000 0.3521 1
N1 N 0.0000 0.0000 0.5871 1
N2 N 0.2451 0.0000 0.0917 1
N3 N 0.5000 0.0000 0.6033 1
```

Most intense lines, 2θ = 5–70°, in order of rising 2θ:
2θ 25.56, I 50, (2 0 2)
2θ 29.53, I 100, (0 1 3)
2θ 31.86, I 53, (2 1 1)
2θ 34.41, I 30, (2 0 4)
2θ 39.76, I 18, (0 0 6)
2θ 44.64, I 29, (0 2 0)
2θ 45.96, I 22, (2 1 5)
2θ 54.46, I 19, (4 1 3)
2θ 57.25, I 17, (2 1 7)
2θ 61.30, I 15, (0 2 6)